Entry 1:
Structure and theoretical powder diffractogram of Tl4Ag5Te6 (a cell relaxed with GGA-PBE; Cu Kα).
No peak broadening, texture or thermal motion is included.

Most intense lines, 2θ = 10–90°, by intensity:
| 2theta | I/Imax |
| --- | --- |
| 37.08 | 100 |
| 28.40 | 71 |
| 27.09 | 68 |
| 29.79 | 54 |
| 32.01 | 48 |
| 40.87 | 43 |
| 34.59 | 37 |
| 28.83 | 35 |
| 25.96 | 34 |
| 32.53 | 32 |
| 29.16 | 32 |
| 25.74 | 29 |

Crystal structure
```
30
Lattice="2.424 -10.314 0.000 2.424 10.314 0.000 0.000 0.000 18.372" Properties=species:S:1:pos:R:3 pbc="T T T"
Tl 2.424 10.068 9.186
Tl 2.424 10.054 13.918
Tl 2.424 6.675 5.674
Tl 2.424 6.640 17.518
Tl 2.424 -6.640 8.332
Tl 2.424 -6.675 14.860
Tl 2.424 -10.054 4.732
Tl 2.424 -10.068 0.000
Ag 2.424 7.360 11.664
Ag 2.424 4.411 11.628
Ag 2.424 2.922 4.824
Ag 2.424 2.922 18.225
Ag 2.424 1.365 11.648
Ag 2.424 -1.365 2.462
Ag 2.424 -2.922 9.039
Ag 2.424 -2.922 14.010
Ag 2.424 -4.411 2.442
Ag 2.424 -7.360 2.478
Te 2.424 7.581 2.398
Te 2.424 5.849 9.163
Te 2.424 5.818 14.104
Te 2.424 1.396 2.341
Te 2.424 1.404 7.228
Te 2.424 1.372 15.857
Te 2.424 -1.372 6.671
Te 2.424 -1.396 11.527
Te 2.424 -1.404 16.414
Te 2.424 -5.818 4.918
Te 2.424 -5.849 18.349
Te 2.424 -7.581 11.584
```

Entry 2:
Structure and theoretical powder diffractogram of Sb3P3O13 (a cell relaxed with GGA-PBE; Cu Kα).
No peak broadening, texture or thermal motion is included.

Most intense lines, 2θ = 10–90°, by intensity:
| 2theta | I/Imax |
| --- | --- |
| 18.80 | 100 |
| 15.32 | 55 |
| 30.10 | 47 |
| 13.35 | 44 |
| 24.03 | 41 |
| 23.56 | 41 |
| 26.26 | 37 |
| 31.95 | 34 |
| 35.64 | 33 |
| 15.46 | 28 |
| 35.10 | 27 |
| 27.76 | 25 |

Crystal structure
```
38
Lattice="7.928 0.000 0.000 0.000 6.698 0.000 -0.414 0.000 11.462" Properties=species:S:1:pos:R:3 pbc="T T T"
Sb 0.000 0.000 0.000
Sb 0.000 3.349 0.000
Sb 1.750 1.674 6.038
Sb 2.653 5.023 2.229
Sb 4.861 1.674 9.233
Sb 5.764 5.023 5.423
P 1.135 5.023 5.303
P 1.797 1.674 2.581
P 2.286 1.674 10.114
P 5.228 5.023 1.348
P 5.717 5.023 8.881
P 6.378 1.674 6.159
O -0.137 1.674 6.818
O 0.596 1.674 1.559
O 0.972 5.023 1.240
O 1.196 1.674 4.005
O 1.393 3.783 6.149
O 1.393 6.263 6.149
O 1.494 0.398 10.380
O 1.494 2.951 10.380
O 2.196 5.023 4.134
O 2.671 0.415 2.320
O 2.671 2.934 2.320
O 2.905 1.674 8.620
O 3.818 5.023 0.587
O 3.696 1.674 10.874
O 4.608 5.023 2.842
O 4.842 3.764 9.141
O 4.842 6.283 9.141
O 5.318 1.674 7.328
O 6.020 3.746 1.082
O 6.020 6.300 1.082
O 6.121 0.434 5.312
O 6.121 2.915 5.312
O 6.318 5.023 7.456
O 6.542 1.674 10.222
O 6.917 5.023 9.903
O 7.650 5.023 4.644
```

Entry 3:
Structure and theoretical powder diffractogram of NaCa2CuRh (a cell relaxed with GGA-PBE; Cu Kα).
No peak broadening, texture or thermal motion is included.

Most intense lines, 2θ = 10–90°, by intensity:
| 2theta | I/Imax |
| --- | --- |
| 16.41 | 100 |
| 33.16 | 63 |
| 50.10 | 37 |
| 37.21 | 26 |
| 23.28 | 25 |
| 36.45 | 24 |
| 47.60 | 22 |
| 40.21 | 21 |
| 61.41 | 20 |
| 17.99 | 18 |
| 53.07 | 18 |
| 24.44 | 13 |

Crystal structure
```
5
Lattice="5.403 0.000 0.000 0.000 5.403 0.000 0.000 0.000 4.930" Properties=species:S:1:pos:R:3 pbc="T T T"
Na 0.000 0.000 0.000
Ca 0.000 2.701 2.465
Ca 2.701 0.000 2.465
Cu 2.701 2.701 0.000
Rh 2.701 2.701 2.465
```